# CeY4N5
Computed X-ray diffraction stick pattern, CuKα. Input: a DFT-relaxed cell (PBE, Alexandria).

Principal peaks in the range 2θ from 15° to 90°, sorted by position:
Position (°2θ)	I_rel
16.0	3
21.3	3
31.4	100
36.4	86
52.4	57
62.3	44
65.4	19
77.3	9
85.7	18
88.5	25

```
CeY4N5
1.0
-3.9054 3.9054 2.4700
3.9054 -3.9054 2.4700
3.9054 3.9054 -2.4700
Ce Y N
1 4 5
Direct
0.0000 0.0000 0.0000 Ce
0.1982 0.3999 0.5981 Y
0.3999 0.8018 0.2016 Y
0.6001 0.1982 0.7984 Y
0.8018 0.6001 0.4019 Y
0.0975 0.7027 0.8002 N
0.2973 0.0975 0.3948 N
0.5000 0.5000 0.0000 N
0.7027 0.9025 0.6052 N
0.9025 0.2973 0.1998 N
```